(1)
For K3NaRe2O9, the GGA-PBE geometry in Alexandria gives the computed XRD peak list in this record (Cu Ka).
No peak broadening, texture or thermal motion is included.

Peak list (10 most intense, 15° ≤ 2θ ≤ 90°, by intensity)
- (1 0 1), 2θ 21.59, I 100.0
- (0 1 2), 2θ 30.33, I 80.2
- (1 1 0), 2θ 31.09, I 66.1
- (2 0 2), 2θ 43.99, I 49.3
- (1 0 0), 2θ 17.80, I 33.5
- (1 2 2), 2θ 54.84, I 30.2
- (2 1 1), 2θ 50.02, I 20.0
- (1 1 3), 2θ 49.00, I 17.1
- (1 0 4), 2θ 53.41, I 16.2
- (0 2 4), 2θ 63.10, I 15.7

Structure:
```
data_K3NaRe2O9
_cell_length_a 5.7532
_cell_length_b 5.7532
_cell_length_c 7.3085
_cell_angle_alpha 90.00
_cell_angle_beta 90.00
_cell_angle_gamma 120.00
_symmetry_space_group_name_H-M 'P -3 m 1'
_symmetry_Int_Tables_number 164
_symmetry_space_group_name_Hall '-P 3 2"'
loop_
_atom_site_label
_atom_site_fract_x
_atom_site_fract_y
_atom_site_fract_z
K1 0.0000 0.0000 0.0000
K2 0.3333 0.6667 0.6703
Na1 0.0000 0.0000 0.5000
Re1 0.3333 0.6667 0.1674
O1 0.0000 0.5000 0.0000
O2 0.1800 0.3601 0.2975
```

---

(2)
For K3NaRe2O9, the GGA-PBE geometry in Alexandria gives the computed XRD peak list in this record (Cu Ka).
No peak broadening, texture or thermal motion is included.

Peak list (10 most intense, 15° ≤ 2θ ≤ 90°, by intensity)
- (1 0 1), 2θ 17.81, I 100.0
- (1 1 0), 2θ 29.21, I 58.0
- (1 0 0), 2θ 16.74, I 28.8
- (1 0 4), 2θ 29.71, I 27.4
- (1 1 4), 2θ 38.39, I 23.2
- (1 0 5), 2θ 35.07, I 21.9
- (2 0 4), 2θ 42.15, I 20.4
- (0 0 4), 2θ 24.36, I 15.6
- (2 1 5), 2θ 55.66, I 15.6
- (2 0 5), 2θ 46.27, I 12.9

Structure:
```
data_K3NaRe2O9
_cell_length_a 6.1150
_cell_length_b 6.1150
_cell_length_c 14.6128
_cell_angle_alpha 90.00
_cell_angle_beta 90.00
_cell_angle_gamma 120.00
_symmetry_space_group_name_H-M 'P 63/m m c'
_symmetry_Int_Tables_number 194
_symmetry_space_group_name_Hall '-P 6c 2c'
loop_
_atom_site_label
_atom_site_fract_x
_atom_site_fract_y
_atom_site_fract_z
K1 0.0000 0.0000 0.2500
K2 0.3333 0.6667 0.1181
Na1 0.0000 0.0000 0.0000
Re1 0.3333 0.6667 0.6496
O1 0.0610 0.5305 0.7500
O2 0.1826 0.3652 0.5944
```

---

(3)
For KNaSO4, the GGA-PBE geometry in Alexandria gives the computed XRD peak list in this record (Cu Ka).
No peak broadening, texture or thermal motion is included.

Peak list (10 most intense, 15° ≤ 2θ ≤ 90°, by intensity)
- (1 1 0), 2θ 31.45, I 100.0
- (0 1 2), 2θ 30.49, I 61.7
- (2 0 2), 2θ 44.37, I 52.8
- (0 0 2), 2θ 24.40, I 21.4
- (1 0 0), 2θ 18.01, I 21.3
- (1 0 1), 2θ 21.77, I 20.8
- (2 2 0), 2θ 65.65, I 19.1
- (0 2 1), 2θ 38.57, I 15.8
- (1 2 2), 2θ 55.40, I 15.4
- (3 0 0), 2θ 55.99, I 14.4

Structure:
```
data_KNaSO4
_cell_length_a 5.6889
_cell_length_b 5.6889
_cell_length_c 7.2970
_cell_angle_alpha 90.00
_cell_angle_beta 90.00
_cell_angle_gamma 120.00
_symmetry_space_group_name_H-M 'P -3 m 1'
_symmetry_Int_Tables_number 164
_symmetry_space_group_name_Hall '-P 3 2"'
loop_
_atom_site_label
_atom_site_fract_x
_atom_site_fract_y
_atom_site_fract_z
K1 0.3333 0.6667 0.1703
Na1 0.0000 0.0000 0.0000
Na2 0.0000 0.0000 0.5000
S1 0.3333 0.6667 0.7212
O1 0.1902 0.3805 0.7933
O2 0.3333 0.6667 0.5202
```

---

Please write out number 3 again, unchanged.
For KNaSO4, the GGA-PBE geometry in Alexandria gives the computed XRD peak list in this record (Cu Ka).
No peak broadening, texture or thermal motion is included.

Peak list (10 most intense, 15° ≤ 2θ ≤ 90°, by intensity)
- (1 1 0), 2θ 31.45, I 100.0
- (0 1 2), 2θ 30.49, I 61.7
- (2 0 2), 2θ 44.37, I 52.8
- (0 0 2), 2θ 24.40, I 21.4
- (1 0 0), 2θ 18.01, I 21.3
- (1 0 1), 2θ 21.77, I 20.8
- (2 2 0), 2θ 65.65, I 19.1
- (0 2 1), 2θ 38.57, I 15.8
- (1 2 2), 2θ 55.40, I 15.4
- (3 0 0), 2θ 55.99, I 14.4

Structure:
```
data_KNaSO4
_cell_length_a 5.6889
_cell_length_b 5.6889
_cell_length_c 7.2970
_cell_angle_alpha 90.00
_cell_angle_beta 90.00
_cell_angle_gamma 120.00
_symmetry_space_group_name_H-M 'P -3 m 1'
_symmetry_Int_Tables_number 164
_symmetry_space_group_name_Hall '-P 3 2"'
loop_
_atom_site_label
_atom_site_fract_x
_atom_site_fract_y
_atom_site_fract_z
K1 0.3333 0.6667 0.1703
Na1 0.0000 0.0000 0.0000
Na2 0.0000 0.0000 0.5000
S1 0.3333 0.6667 0.7212
O1 0.1902 0.3805 0.7933
O2 0.3333 0.6667 0.5202
```